[1]
The following is a simulated X-ray diffraction stick pattern of Cs5Bi2Pt. It was derived from a crystal structure in Alexandria, relaxed with PBE, using Cu Kα.

Principal peaks in the range 10° ≤ 2θ ≤ 90°, low angle first:
- 2θ = 15.86°, intensity 19
- 2θ = 25.54°, intensity 44
- 2θ = 27.19°, intensity 100
- 2θ = 37.65°, intensity 16
- 2θ = 43.97°, intensity 14
- 2θ = 47.06°, intensity 17
- 2θ = 48.05°, intensity 21
- 2θ = 56.09°, intensity 13
- 2θ = 60.09°, intensity 11
- 2θ = 76.92°, intensity 11

Crystal structure
a = 10.9844 Å, b = 10.9844 Å, c = 10.9844 Å
α = 34.74°, β = 34.74°, γ = 34.74°
Fractional positions:
Cs 0.0000 0.0000 0.0000
Cs 0.1421 0.1421 0.1421
Cs 0.2808 0.2808 0.2808
Cs 0.7192 0.7192 0.7192
Cs 0.8579 0.8579 0.8579
Bi 0.4128 0.4128 0.4128
Bi 0.5872 0.5872 0.5872
Pt 0.5000 0.5000 0.5000

=====

[2]
The following is a simulated X-ray diffraction stick pattern of Ho3GaAg3Se8. It was derived from a crystal structure in Alexandria, relaxed with PBE, using Cu Kα.

Principal peaks in the range 10° ≤ 2θ ≤ 90°, low angle first:
- 2θ = 13.69°, intensity 8
- 2θ = 15.50°, intensity 9
- 2θ = 31.29°, intensity 100
- 2θ = 44.36°, intensity 37
- 2θ = 45.33°, intensity 35
- 2θ = 55.28°, intensity 19
- 2θ = 65.29°, intensity 11
- 2θ = 73.47°, intensity 15
- 2θ = 74.90°, intensity 15
- 2θ = 82.35°, intensity 11

Crystal structure
a = 8.0057 Å, b = 8.0057 Å, c = 8.0057 Å
α = 61.35°, β = 61.35°, γ = 61.35°
Fractional positions:
Ho 0.0000 0.5000 0.5000
Ho 0.5000 0.0000 0.5000
Ho 0.5000 0.5000 0.0000
Ga 0.0000 0.0000 0.0000
Ag 0.0000 0.0000 0.5000
Ag 0.0000 0.5000 0.0000
Ag 0.5000 0.0000 0.0000
Se 0.2304 0.7672 0.7672
Se 0.2328 0.2328 0.7696
Se 0.2328 0.7696 0.2328
Se 0.2531 0.2531 0.2531
Se 0.7469 0.7469 0.7469
Se 0.7672 0.2304 0.7672
Se 0.7672 0.7672 0.2304
Se 0.7696 0.2328 0.2328

=====

[3]
The following is a simulated X-ray diffraction stick pattern of Tb4Ho19Th6. It was derived from a crystal structure in Alexandria, relaxed with PBE, using Cu Kα.

Principal peaks in the range 10° ≤ 2θ ≤ 90°, low angle first:
- 2θ = 26.88°, intensity 77
- 2θ = 28.78°, intensity 66
- 2θ = 30.56°, intensity 100
- 2θ = 35.44°, intensity 59
- 2θ = 36.94°, intensity 100
- 2θ = 42.48°, intensity 25
- 2θ = 54.32°, intensity 25
- 2θ = 60.62°, intensity 33
- 2θ = 61.63°, intensity 26
- 2θ = 64.61°, intensity 25

Crystal structure
a = 10.7469 Å, b = 10.7469 Å, c = 10.7469 Å
α = 109.47°, β = 109.47°, γ = 109.47°
Fractional positions:
Tb 0.0000 0.0000 0.6437
Tb 0.0000 0.6437 0.0000
Tb 0.3563 0.3563 0.3563
Tb 0.6437 0.0000 0.0000
Ho 0.0000 0.0000 0.0000
Ho 0.0000 0.2641 0.2641
Ho 0.0000 0.7359 0.7359
Ho 0.0191 0.8081 0.3426
Ho 0.1919 0.2111 0.5346
Ho 0.2111 0.5346 0.1919
Ho 0.2641 0.0000 0.2641
Ho 0.2641 0.2641 0.0000
Ho 0.3235 0.7889 0.9809
Ho 0.3426 0.0191 0.8081
Ho 0.4654 0.6765 0.6574
Ho 0.5346 0.1919 0.2111
Ho 0.6574 0.4654 0.6765
Ho 0.6765 0.6574 0.4654
Ho 0.7359 0.0000 0.7359
Ho 0.7359 0.7359 0.0000
Ho 0.7889 0.9809 0.3235
Ho 0.8081 0.3426 0.0191
Ho 0.9809 0.3235 0.7889
Th 0.1295 0.6295 0.5000
Th 0.3705 0.5000 0.8705
Th 0.5000 0.1295 0.6295
Th 0.5000 0.8705 0.3705
Th 0.6295 0.5000 0.1295
Th 0.8705 0.3705 0.5000

=====

[4]
The following is a simulated X-ray diffraction stick pattern of Cs2MgO2. It was derived from a crystal structure in Alexandria, relaxed with PBE, using Cu Kα.

Principal peaks in the range 10° ≤ 2θ ≤ 90°, low angle first:
- 2θ = 25.09°, intensity 31
- 2θ = 26.46°, intensity 54
- 2θ = 27.50°, intensity 13
- 2θ = 27.70°, intensity 100
- 2θ = 30.42°, intensity 47
- 2θ = 30.70°, intensity 30
- 2θ = 31.84°, intensity 37
- 2θ = 32.96°, intensity 19
- 2θ = 44.61°, intensity 13
- 2θ = 50.96°, intensity 21

Crystal structure
a = 10.1280 Å, b = 6.8058 Å, c = 16.6708 Å
α = 90.00°, β = 117.74°, γ = 90.00°
Fractional positions:
Cs 0.0736 0.1237 0.3341
Cs 0.0736 0.3763 0.8341
Cs 0.1522 0.6607 0.4716
Cs 0.1522 0.8393 0.9716
Cs 0.3213 0.5891 0.7392
Cs 0.3213 0.9109 0.2392
Cs 0.4216 0.0791 0.8759
Cs 0.4216 0.4209 0.3759
Cs 0.5784 0.5791 0.6241
Cs 0.5784 0.9209 0.1241
Cs 0.6787 0.0891 0.7608
Cs 0.6787 0.4109 0.2608
Cs 0.8478 0.1607 0.0284
Cs 0.8478 0.3393 0.5284
Cs 0.9264 0.6237 0.1659
Cs 0.9264 0.8763 0.6659
Mg 0.2462 0.1314 0.6220
Mg 0.2462 0.3686 0.1220
Mg 0.4143 0.0513 0.5391
Mg 0.4143 0.4487 0.0391
Mg 0.5857 0.5513 0.9609
Mg 0.5857 0.9487 0.4609
Mg 0.7538 0.6314 0.8780
Mg 0.7538 0.8686 0.3780
O 0.1444 0.1954 0.6902
O 0.1444 0.3046 0.1902
O 0.2686 0.2315 0.0255
O 0.2686 0.2685 0.5255
O 0.3724 0.6139 0.9297
O 0.3724 0.8861 0.4297
O 0.3817 0.5863 0.1375
O 0.3817 0.9137 0.6375
O 0.6183 0.0863 0.3625
O 0.6183 0.4137 0.8625
O 0.6276 0.1139 0.5703
O 0.6276 0.3861 0.0703
O 0.7314 0.7315 0.4745
O 0.7314 0.7685 0.9745
O 0.8556 0.6954 0.8098
O 0.8556 0.8046 0.3098